[1]
# PaBe17Al
Simulated X-ray diffraction stick pattern, Cu Kα, 1.54184 Å. Input: a crystal structure in Alexandria, relaxed with PBE.

Cell and atoms:
```
data_PaBe17Al
_chemical_formula_sum 'Pa3 Be51 Al3'
_symmetry_space_group_name_H-M 'R 3 m'
_symmetry_Int_Tables_number 160
_symmetry_space_group_name_Hall 'R 3 -2"'
_cell_length_a 7.6424
_cell_length_b 7.6424
_cell_length_c 10.9942
_cell_angle_alpha 90.00
_cell_angle_beta 90.00
_cell_angle_gamma 120.00
loop_
_atom_site_label
_atom_site_fract_x
_atom_site_fract_y
_atom_site_fract_z
Pa1 0.0000 0.0000 0.0000
Be1 0.0000 0.0000 0.2496
Be2 0.0000 0.0000 0.4457
Be3 0.0041 0.2877 0.3464
Be4 0.0076 0.5038 0.8433
Be5 0.0095 0.5047 0.1898
Be6 0.1675 0.3349 0.8355
Al1 0.0000 0.0000 0.6952
```

Principal peaks in the range 5 to 70 degrees two-theta, most intense first:
15.6°, I 1000; 23.3°, I 506; 21.0°, I 495; 33.9°, I 470; 28.2°, I 289; 36.8°, I 287; 48.1°, I 241; 39.6°, I 217; 31.6°, I 196; 35.4°, I 185


[2]
# LiPa3Al12
Simulated X-ray diffraction stick pattern, Cu Kα, 1.54184 Å. Input: a crystal structure in Alexandria, relaxed with PBE.

Cell and atoms:
```
data_LiPa3Al12
_chemical_formula_sum 'Li1 Pa3 Al12'
_symmetry_space_group_name_H-M 'P 4/m m m'
_symmetry_Int_Tables_number 123
_symmetry_space_group_name_Hall '-P 4 2'
_cell_length_a 4.2675
_cell_length_b 4.2675
_cell_length_c 16.7450
_cell_angle_alpha 90.00
_cell_angle_beta 90.00
_cell_angle_gamma 90.00
loop_
_atom_site_label
_atom_site_fract_x
_atom_site_fract_y
_atom_site_fract_z
Li1 0.0000 0.0000 0.0000
Pa1 0.0000 0.0000 0.2415
Pa2 0.0000 0.0000 0.5000
Al1 0.0000 0.5000 0.1101
Al2 0.0000 0.5000 0.3707
Al3 0.5000 0.5000 0.0000
Al4 0.5000 0.5000 0.2458
Al5 0.5000 0.5000 0.5000
```

Principal peaks in the range 5 to 70 degrees two-theta, most intense first:
36.7°, I 1000; 20.8°, I 678; 5.3°, I 649; 29.9°, I 553; 42.4°, I 349; 21.2°, I 322; 29.6°, I 293; 52.7°, I 241; 26.3°, I 200; 62.1°, I 196


[3]
# TmH3C3O6
Simulated X-ray diffraction stick pattern, Cu Kα, 1.54184 Å. Input: a crystal structure in Alexandria, relaxed with PBE.

Cell and atoms:
```
data_TmH3C3O6
_chemical_formula_sum 'Tm3 H9 C9 O18'
_symmetry_space_group_name_H-M 'R 3 m'
_symmetry_Int_Tables_number 160
_symmetry_space_group_name_Hall 'R 3 -2"'
_cell_length_a 10.3858
_cell_length_b 10.3858
_cell_length_c 3.9450
_cell_angle_alpha 90.00
_cell_angle_beta 90.00
_cell_angle_gamma 120.00
loop_
_atom_site_label
_atom_site_fract_x
_atom_site_fract_y
_atom_site_fract_z
Tm1 0.0000 0.0000 0.0000
H1 0.1719 0.3439 0.1889
C1 0.0252 0.5126 0.1226
O1 0.0839 0.1677 0.5096
O2 0.2031 0.4061 0.6860
```

Principal peaks in the range 5 to 70 degrees two-theta, most intense first:
17.1°, I 1000; 34.8°, I 384; 24.6°, I 318; 30.1°, I 301; 34.5°, I 297; 42.9°, I 252; 49.9°, I 188; 47.2°, I 140; 46.3°, I 134; 29.8°, I 128


[4]
# Sr2Al3
Simulated X-ray diffraction stick pattern, Cu Kα, 1.54184 Å. Input: a crystal structure in Alexandria, relaxed with PBE.

Cell and atoms:
```
data_Sr2Al3
_chemical_formula_sum 'Sr8 Al12'
_symmetry_space_group_name_H-M 'P b c n'
_symmetry_Int_Tables_number 60
_symmetry_space_group_name_Hall '-P 2n 2ab'
_cell_length_a 6.7778
_cell_length_b 7.5993
_cell_length_c 10.9513
_cell_angle_alpha 90.00
_cell_angle_beta 90.00
_cell_angle_gamma 90.00
loop_
_atom_site_label
_atom_site_fract_x
_atom_site_fract_y
_atom_site_fract_z
Sr1 0.1255 0.2059 0.0726
Al1 0.0000 0.1462 0.7500
Al2 0.1619 0.4735 0.8215
```

Principal peaks in the range 5 to 70 degrees two-theta, most intense first:
30.0°, I 1000; 30.2°, I 792; 31.6°, I 505; 35.4°, I 364; 28.6°, I 318; 37.9°, I 219; 23.4°, I 210; 20.9°, I 191; 56.4°, I 188; 34.1°, I 188


[5]
# TbPm3SmSc
Simulated X-ray diffraction stick pattern, Cu Kα, 1.54184 Å. Input: a crystal structure in Alexandria, relaxed with PBE.

Cell and atoms:
```
data_TbPm3SmSc
_chemical_formula_sum 'Tb2 Pm6 Sm2 Sc2'
_symmetry_space_group_name_H-M 'P 1 21/m 1'
_symmetry_Int_Tables_number 11
_symmetry_space_group_name_Hall '-P 2yb'
_cell_length_a 7.9509
_cell_length_b 5.0713
_cell_length_c 10.1015
_cell_angle_alpha 90.00
_cell_angle_beta 108.63
_cell_angle_gamma 90.00
loop_
_atom_site_label
_atom_site_fract_x
_atom_site_fract_y
_atom_site_fract_z
Tb1 0.0012 0.2500 0.3718
Pm1 0.3233 0.7500 0.9588
Pm2 0.3281 0.2500 0.7103
Pm3 0.3298 0.7500 0.4546
Sm1 0.3246 0.2500 0.2030
Sc1 0.0012 0.7500 0.1210
```

Principal peaks in the range 5 to 70 degrees two-theta, most intense first:
30.7°, I 1000; 51.2°, I 176; 35.4°, I 171; 35.5°, I 168; 35.8°, I 164; 60.6°, I 145; 60.8°, I 139; 61.1°, I 135; 51.0°, I 125; 63.9°, I 120


[6]
# LaThSc
Simulated X-ray diffraction stick pattern, Cu Kα, 1.54184 Å. Input: a crystal structure in Alexandria, relaxed with PBE.

Cell and atoms:
```
data_LaThSc
_chemical_formula_sum 'La1 Th1 Sc1'
_symmetry_space_group_name_H-M 'P 3 m 1'
_symmetry_Int_Tables_number 156
_symmetry_space_group_name_Hall 'P 3 -2"'
_cell_length_a 3.5380
_cell_length_b 3.5380
_cell_length_c 8.5456
_cell_angle_alpha 90.00
_cell_angle_beta 90.00
_cell_angle_gamma 120.00
loop_
_atom_site_label
_atom_site_fract_x
_atom_site_fract_y
_atom_site_fract_z
La1 0.0000 0.0000 0.0000
Th1 0.3333 0.6667 0.6554
Sc1 0.6667 0.3333 0.3445
```

Principal peaks in the range 5 to 70 degrees two-theta, most intense first:
31.0°, I 1000; 36.1°, I 646; 10.4°, I 444; 31.4°, I 273; 52.2°, I 240; 61.7°, I 238; 51.7°, I 208; 29.1°, I 145; 61.5°, I 144; 20.8°, I 130


[7]
# Ce4MnSn8
Simulated X-ray diffraction stick pattern, Cu Kα, 1.54184 Å. Input: a crystal structure in Alexandria, relaxed with PBE.

Cell and atoms:
```
data_Ce4MnSn8
_chemical_formula_sum 'Ce4 Mn1 Sn8'
_symmetry_space_group_name_H-M 'P m m 2'
_symmetry_Int_Tables_number 25
_symmetry_space_group_name_Hall 'P 2 -2'
_cell_length_a 4.4680
_cell_length_b 4.5528
_cell_length_c 17.1442
_cell_angle_alpha 90.00
_cell_angle_beta 90.00
_cell_angle_gamma 90.00
loop_
_atom_site_label
_atom_site_fract_x
_atom_site_fract_y
_atom_site_fract_z
Ce1 0.0000 0.0000 0.0000
Ce2 0.0000 0.5000 0.4860
Ce3 0.5000 0.0000 0.7834
Ce4 0.5000 0.5000 0.2908
Mn1 0.0000 0.5000 0.7046
Sn1 0.0000 0.0000 0.3245
Sn2 0.0000 0.0000 0.6235
Sn3 0.0000 0.5000 0.1449
Sn4 0.0000 0.5000 0.8553
Sn5 0.5000 0.0000 0.1473
Sn6 0.5000 0.0000 0.4461
Sn7 0.5000 0.5000 0.6216
Sn8 0.5000 0.5000 0.9708
```

Principal peaks in the range 5 to 70 degrees two-theta, most intense first:
32.1°, I 1000; 67.2°, I 194; 39.6°, I 187; 40.4°, I 177; 31.3°, I 150; 57.8°, I 125; 68.3°, I 119; 52.0°, I 116; 37.4°, I 92; 51.3°, I 82


[8]
# TbPmAl6
Simulated X-ray diffraction stick pattern, Cu Kα, 1.54184 Å. Input: a crystal structure in Alexandria, relaxed with PBE.

Cell and atoms:
```
data_TbPmAl6
_chemical_formula_sum 'Tb1 Pm1 Al6'
_symmetry_space_group_name_H-M 'P -6 m 2'
_symmetry_Int_Tables_number 187
_symmetry_space_group_name_Hall 'P -6 2'
_cell_length_a 6.3537
_cell_length_b 6.3537
_cell_length_c 4.6557
_cell_angle_alpha 90.00
_cell_angle_beta 90.00
_cell_angle_gamma 120.00
loop_
_atom_site_label
_atom_site_fract_x
_atom_site_fract_y
_atom_site_fract_z
Tb1 0.0000 0.0000 0.0000
Pm1 0.3333 0.6667 0.5000
Al1 0.3769 0.1884 0.5000
Al2 0.5236 0.0471 0.0000
```

Principal peaks in the range 5 to 70 degrees two-theta, most intense first:
25.1°, I 1000; 38.0°, I 983; 28.1°, I 476; 47.9°, I 248; 32.5°, I 248; 16.1°, I 237; 38.7°, I 219; 48.5°, I 216; 64.2°, I 186; 58.1°, I 169